# 1
Starting from the GGA+U geometry in the Materials Project, the powder XRD pattern of MnP2H4O5 was simulated for Cu Kα.
Peak positions follow from Bragg's law for the DFT cell and can differ from measured ones.

Peak list (10 most intense, 2θ = 5–70°, low angle first)
- hkl 0 1 1, 15.06°, intensity 1000
- hkl 1 1 -1, 17.44°, intensity 994
- hkl 1 0 -2, 18.88°, intensity 611
- hkl 1 1 -2, 22.43°, intensity 316
- hkl 2 0 -2, 25.37°, intensity 317
- hkl 1 1 2, 26.71°, intensity 412
- hkl 1 2 -1, 27.31°, intensity 319
- hkl 2 1 1, 29.23°, intensity 792
- hkl 1 2 -2, 30.81°, intensity 305
- hkl 2 2 0, 33.39°, intensity 459

Cell and atoms:
Unit cell a=8.082 b=7.377 c=10.077 alpha=90.00 beta=104.46 gamma=90.00
Space group P2_1/c (No. 14)
Inequivalent atoms, fractional coordinates:
Mn 0.206 0.032 0.094 x4
P 0.037 0.173 0.341 x4
P 0.463 0.111 0.694 x4
H 0.128 0.596 0.191 x4
H 0.145 0.047 0.428 x4
H 0.392 0.551 0.127 x4
H 0.403 0.116 0.815 x4
O 0.028 0.151 0.922 x4
O 0.098 0.198 0.210 x4
O 0.281 0.618 0.488 x4
O 0.341 0.593 0.767 x4
O 0.393 0.229 0.100 x4

***

# 2
Starting from the GGA+U geometry in the Materials Project, the powder XRD pattern of MnSO5 was simulated for Cu Kα.
Peak positions follow from Bragg's law for the DFT cell and can differ from measured ones.

Peak list (10 most intense, 2θ = 5–70°, low angle first)
- hkl 1 1 0, 17.91°, intensity 772
- hkl 1 1 -1, 18.69°, intensity 737
- hkl 0 2 0, 21.81°, intensity 238
- hkl 0 2 1, 26.05°, intensity 476
- hkl 1 1 1, 26.39°, intensity 408
- hkl 1 1 -2, 27.99°, intensity 1000
- hkl 2 0 0, 28.64°, intensity 714
- hkl 1 3 0, 36.06°, intensity 721
- hkl 3 1 0, 45.02°, intensity 243
- hkl 2 4 -2, 54.94°, intensity 277

Cell and atoms:
Unit cell a=6.886 b=8.150 c=6.956 alpha=90.00 beta=115.14 gamma=90.00
Space group C2/c (No. 15)
Inequivalent atoms, fractional coordinates:
Mn 0.000 0.000 0.000 x4
S 0.000 0.336 0.250 x4
O 0.000 0.075 0.750 x4
O 0.085 0.232 0.125 x8
O 0.175 0.443 0.395 x8

***

# 3
Starting from the GGA+U geometry in the Materials Project, the powder XRD pattern of Mg6FeBO8 was simulated for Cu Kα.
Peak positions follow from Bragg's law for the DFT cell and can differ from measured ones.

Peak list (10 most intense, 2θ = 5–70°, low angle first)
- hkl 1 0 1, 23.21°, intensity 86
- hkl 0 0 3, 31.81°, intensity 109
- hkl 1 1 2, 36.42°, intensity 273
- hkl 1 0 3, 38.23°, intensity 154
- hkl 2 0 0, 42.01°, intensity 1000
- hkl 0 0 4, 42.87°, intensity 339
- hkl 2 0 3, 53.65°, intensity 85
- hkl 2 1 3, 58.10°, intensity 75
- hkl 2 2 0, 60.93°, intensity 280
- hkl 2 0 4, 61.58°, intensity 401

Cell and atoms:
Unit cell a=4.301 b=4.301 c=8.439 alpha=90.00 beta=90.00 gamma=90.00
Space group P4/mmm (No. 123)
Inequivalent atoms, fractional coordinates:
Mg 0.000 0.000 0.000 x1
Mg 0.000 0.000 0.500 x1
Mg 0.000 0.500 0.237 x4
Fe 0.500 0.500 0.500 x1
B 0.500 0.500 0.000 x1
O 0.000 0.000 0.250 x2
O 0.000 0.500 0.000 x2
O 0.000 0.500 0.500 x2
O 0.500 0.500 0.168 x2

***

# 4
Starting from the GGA+U geometry in the Materials Project, the powder XRD pattern of Na2CoP2O7 was simulated for Cu Kα.
Peak positions follow from Bragg's law for the DFT cell and can differ from measured ones.

Peak list (10 most intense, 2θ = 5–70°, low angle first)
- hkl 2 0 0, 12.68°, intensity 551
- hkl 2 0 1, 16.20°, intensity 1000
- hkl 0 0 2, 20.15°, intensity 591
- hkl 3 0 1, 21.59°, intensity 281
- hkl 2 1 1, 23.31°, intensity 705
- hkl 2 1 2, 29.25°, intensity 542
- hkl 0 2 0, 33.66°, intensity 737
- hkl 4 1 2, 36.93°, intensity 444
- hkl 2 1 3, 37.26°, intensity 384
- hkl 3 2 2, 44.26°, intensity 402

Cell and atoms:
Unit cell a=13.965 b=5.325 c=8.812 alpha=90.00 beta=90.00 gamma=90.00
Space group Pnma (No. 62)
Inequivalent atoms, fractional coordinates:
Na 0.103 0.250 0.134 x4
Na 0.203 0.750 0.365 x4
Co 0.170 0.750 0.769 x4
P 0.040 0.250 0.775 x4
P 0.191 0.250 0.555 x4
O 0.067 0.750 0.235 x4
O 0.078 0.250 0.596 x4
O 0.082 0.014 0.851 x8
O 0.196 0.250 0.381 x4
O 0.235 0.009 0.622 x8

***

# 5
Starting from the GGA+U geometry in the Materials Project, the powder XRD pattern of Li2CoO2 was simulated for Cu Kα.
Peak positions follow from Bragg's law for the DFT cell and can differ from measured ones.

Peak list (10 most intense, 2θ = 5–70°, low angle first)
- hkl 1 0 0, 17.16°, intensity 1000
- hkl 0 0 2, 32.00°, intensity 119
- hkl 0 1 1, 33.26°, intensity 168
- hkl 1 0 -2, 36.04°, intensity 345
- hkl 1 1 -1, 37.41°, intensity 153
- hkl 1 1 1, 37.89°, intensity 559
- hkl 2 0 -2, 47.14°, intensity 158
- hkl 2 1 -1, 48.45°, intensity 165
- hkl 2 1 1, 49.22°, intensity 298
- hkl 0 1 3, 57.84°, intensity 211

Cell and atoms:
Unit cell a=5.171 b=3.074 c=5.596 alpha=90.00 beta=91.77 gamma=90.00
Space group P2/m (No. 10)
Inequivalent atoms, fractional coordinates:
Li 0.139 0.000 0.164 x2
Li 0.141 0.500 0.666 x2
Co 0.500 0.000 0.500 x1
Co 0.500 0.500 0.000 x1
O 0.259 0.000 0.843 x2
O 0.265 0.500 0.341 x2

***

# 6
Starting from the GGA+U geometry in the Materials Project, the powder XRD pattern of Mg6CrFeO8 was simulated for Cu Kα.
Peak positions follow from Bragg's law for the DFT cell and can differ from measured ones.

Peak list (10 most intense, 2θ = 5–70°, low angle first)
- hkl 0 0 1, 10.35°, intensity 353
- hkl 0 0 2, 20.78°, intensity 82
- hkl 1 1 0, 29.31°, intensity 68
- hkl 1 1 1, 31.16°, intensity 111
- hkl 1 1 2, 36.20°, intensity 363
- hkl 2 0 0, 41.93°, intensity 1000
- hkl 0 0 4, 42.28°, intensity 484
- hkl 1 1 3, 43.48°, intensity 46
- hkl 2 2 0, 60.80°, intensity 283
- hkl 2 0 4, 61.07°, intensity 554

Cell and atoms:
Unit cell a=4.309 b=4.309 c=8.550 alpha=90.00 beta=90.00 gamma=90.00
Space group P4/mmm (No. 123)
Inequivalent atoms, fractional coordinates:
Mg 0.000 0.000 0.000 x1
Mg 0.000 0.500 0.249 x4
Mg 0.500 0.500 0.000 x1
Cr 0.000 0.000 0.500 x1
Fe 0.500 0.500 0.500 x1
O 0.000 0.000 0.253 x2
O 0.000 0.500 0.000 x2
O 0.000 0.500 0.500 x2
O 0.500 0.500 0.240 x2